The following is a theoretical powder diffraction line list of Tb8Ga3Co. It was derived from DFT lattice parameters and positions (GGA-PBE), using λ = 1.5418 Å (Cu Kα).
Lines closer than 0.1° are merged.

Crystal structure
Lattice parameters (Å, degrees): 10.0706 10.0706 6.9186 90.00 90.00 120.00
Element x y z (fractional)
Tb (0.0000, 0.0000, 0.0000)
Tb (0.0000, 0.0000, 0.5000)
Tb (0.0724, 0.5362, 0.0226)
Tb (0.1724, 0.3449, 0.7214)
Tb (0.1724, 0.8276, 0.7214)
Tb (0.3333, 0.6667, 0.4030)
Tb (0.3449, 0.1724, 0.2214)
Tb (0.4638, 0.5362, 0.0226)
Tb (0.4638, 0.9276, 0.0226)
Tb (0.5362, 0.0724, 0.5226)
Tb (0.5362, 0.4638, 0.5226)
Tb (0.6551, 0.8276, 0.7214)
Tb (0.6667, 0.3333, 0.9030)
Tb (0.8276, 0.1724, 0.2214)
Tb (0.8276, 0.6551, 0.2214)
Tb (0.9276, 0.4638, 0.5226)
Ga (0.1635, 0.3270, 0.2690)
Ga (0.1635, 0.8365, 0.2690)
Ga (0.3270, 0.1635, 0.7690)
Ga (0.6730, 0.8365, 0.2690)
Ga (0.8365, 0.1635, 0.7690)
Ga (0.8365, 0.6730, 0.7690)
Co (0.3333, 0.6667, 0.7897)
Co (0.6667, 0.3333, 0.2897)

Principal peaks in the range 10 to 80 degrees two-theta, sorted by position:
| d/Å | Rel. int. |
| --- | --- |
| 3.689 | 17 |
| 2.976 | 45 |
| 2.851 | 22 |
| 2.710 | 100 |
| 2.680 | 19 |
| 2.518 | 91 |
| 2.228 | 19 |
| 1.845 | 17 |
| 1.668 | 17 |
| 1.511 | 26 |


The following is a theoretical powder diffraction line list of TmGa5Co. It was derived from DFT lattice parameters and positions (GGA-PBE), using λ = 1.5418 Å (Cu Kα).
Lines closer than 0.1° are merged.

Crystal structure
Lattice parameters (Å, degrees): 4.1892 4.1892 6.7810 90.00 90.00 90.00
Element x y z (fractional)
Tm (0.0000, 0.0000, 0.0000)
Ga (0.0000, 0.5000, 0.3097)
Ga (0.0000, 0.5000, 0.6903)
Ga (0.5000, 0.0000, 0.3097)
Ga (0.5000, 0.0000, 0.6903)
Ga (0.5000, 0.5000, 0.0000)
Co (0.0000, 0.0000, 0.5000)

Principal peaks in the range 10 to 80 degrees two-theta, sorted by position:
| d/Å | Rel. int. |
| --- | --- |
| 4.189 | 24 |
| 2.714 | 53 |
| 2.635 | 15 |
| 2.260 | 19 |
| 2.231 | 100 |
| 2.095 | 55 |
| 1.536 | 23 |
| 1.481 | 18 |
| 1.239 | 11 |
| 1.234 | 40 |


The following is a theoretical powder diffraction line list of Y5GaCo5. It was derived from DFT lattice parameters and positions (GGA-PBE), using λ = 1.5418 Å (Cu Kα).
Lines closer than 0.1° are merged.

Crystal structure
Lattice parameters (Å, degrees): 5.4887 5.4887 20.5090 90.00 90.00 136.53
Element x y z (fractional)
Y (0.0011, 0.9989, 0.6570)
Y (0.0011, 0.9989, 0.8430)
Y (0.2881, 0.7119, 0.7500)
Y (0.2915, 0.7085, 0.5657)
Y (0.2915, 0.7085, 0.9343)
Y (0.7085, 0.2915, 0.0657)
Y (0.7085, 0.2915, 0.4343)
Y (0.7119, 0.2881, 0.2500)
Y (0.9989, 0.0011, 0.1570)
Y (0.9989, 0.0011, 0.3430)
Ga (0.0000, 0.0000, 0.0000)
Ga (0.0000, 0.0000, 0.5000)
Co (0.2985, 0.7015, 0.1538)
Co (0.2985, 0.7015, 0.3462)
Co (0.4131, 0.5869, 0.2500)
Co (0.4192, 0.5808, 0.0584)
Co (0.4192, 0.5808, 0.4416)
Co (0.5808, 0.4192, 0.5584)
Co (0.5808, 0.4192, 0.9416)
Co (0.5869, 0.4131, 0.7500)
Co (0.7015, 0.2985, 0.6538)
Co (0.7015, 0.2985, 0.8462)

Principal peaks in the range 10 to 80 degrees two-theta, sorted by position:
| d/Å | Rel. int. |
| --- | --- |
| 2.839 | 37 |
| 2.778 | 59 |
| 2.608 | 100 |
| 2.534 | 95 |
| 2.201 | 82 |
| 2.165 | 46 |
| 2.051 | 27 |
| 2.032 | 57 |
| 1.482 | 26 |
| 1.371 | 26 |


The following is a theoretical powder diffraction line list of Y2Ga2Co15. It was derived from DFT lattice parameters and positions (GGA-PBE), using λ = 1.5418 Å (Cu Kα).
Lines closer than 0.1° are merged.

Crystal structure
Lattice parameters (Å, degrees): 8.3399 8.3399 8.1741 90.00 90.00 120.00
Element x y z (fractional)
Y (0.0000, 0.0000, 0.2500)
Y (0.0000, 0.0000, 0.7500)
Y (0.3333, 0.6667, 0.2500)
Y (0.6667, 0.3333, 0.7500)
Ga (0.3333, 0.6667, 0.5960)
Ga (0.3333, 0.6667, 0.9040)
Ga (0.6667, 0.3333, 0.0960)
Ga (0.6667, 0.3333, 0.4040)
Co (0.0000, 0.5000, 0.0000)
Co (0.0000, 0.5000, 0.5000)
Co (0.0467, 0.3744, 0.7500)
Co (0.0467, 0.6724, 0.7500)
Co (0.1629, 0.3257, 0.0253)
Co (0.1629, 0.3257, 0.4747)
Co (0.1629, 0.8371, 0.0253)
Co (0.1629, 0.8371, 0.4747)
Co (0.3257, 0.1629, 0.5253)
Co (0.3257, 0.1629, 0.9747)
Co (0.3276, 0.3744, 0.7500)
Co (0.3276, 0.9533, 0.7500)
Co (0.3744, 0.0467, 0.2500)
Co (0.3744, 0.3276, 0.2500)
Co (0.5000, 0.0000, 0.0000)
Co (0.5000, 0.0000, 0.5000)
Co (0.5000, 0.5000, 0.0000)
Co (0.5000, 0.5000, 0.5000)
Co (0.6256, 0.6724, 0.7500)
Co (0.6256, 0.9533, 0.7500)
Co (0.6724, 0.0467, 0.2500)
Co (0.6724, 0.6256, 0.2500)
Co (0.6743, 0.8371, 0.0253)
Co (0.6743, 0.8371, 0.4747)
Co (0.8371, 0.1629, 0.5253)
Co (0.8371, 0.1629, 0.9747)
Co (0.8371, 0.6743, 0.5253)
Co (0.8371, 0.6743, 0.9747)
Co (0.9533, 0.3276, 0.2500)
Co (0.9533, 0.6256, 0.2500)

Principal peaks in the range 10 to 80 degrees two-theta, sorted by position:
| d/Å | Rel. int. |
| --- | --- |
| 2.919 | 14 |
| 2.408 | 41 |
| 2.175 | 63 |
| 2.085 | 76 |
| 2.074 | 100 |
| 2.044 | 38 |
| 1.928 | 17 |
| 1.857 | 60 |
| 1.416 | 14 |
| 1.204 | 20 |


The following is a theoretical powder diffraction line list of ZrGaCo2. It was derived from DFT lattice parameters and positions (GGA-PBE), using λ = 1.5418 Å (Cu Kα).
Lines closer than 0.1° are merged.

Crystal structure
Lattice parameters (Å, degrees): 6.6350 6.6055 5.2729 90.00 90.00 90.00
Element x y z (fractional)
Zr (0.0295, 0.2500, 0.1535)
Zr (0.4705, 0.7500, 0.6535)
Zr (0.5295, 0.2500, 0.3465)
Zr (0.9705, 0.7500, 0.8465)
Ga (0.1094, 0.7500, 0.3462)
Ga (0.3906, 0.2500, 0.8462)
Ga (0.6094, 0.7500, 0.1538)
Ga (0.8906, 0.2500, 0.6538)
Co (0.1858, 0.0456, 0.5868)
Co (0.1858, 0.4544, 0.5868)
Co (0.3142, 0.5456, 0.0868)
Co (0.3142, 0.9544, 0.0868)
Co (0.6858, 0.0456, 0.9132)
Co (0.6858, 0.4544, 0.9132)
Co (0.8142, 0.5456, 0.4132)
Co (0.8142, 0.9544, 0.4132)

Principal peaks in the range 10 to 80 degrees two-theta, sorted by position:
| d/Å | Rel. int. |
| --- | --- |
| 2.582 | 51 |
| 2.341 | 70 |
| 2.297 | 100 |
| 2.139 | 56 |
| 2.062 | 27 |
| 2.040 | 41 |
| 1.968 | 36 |
| 1.943 | 31 |
| 1.651 | 18 |
| 1.638 | 17 |


The following is a theoretical powder diffraction line list of LaGdCo2Ge2. It was derived from DFT lattice parameters and positions (GGA-PBE), using λ = 1.5418 Å (Cu Kα).
Lines closer than 0.1° are merged.

Crystal structure
Lattice parameters (Å, degrees): 4.1528 4.1528 6.8251 90.00 90.00 90.00
Element x y z (fractional)
La (0.0000, 0.0000, 0.0000)
Gd (0.5000, 0.5000, 0.6196)
Co (0.0000, 0.5000, 0.3230)
Co (0.5000, 0.0000, 0.3230)
Ge (0.0000, 0.0000, 0.5102)
Ge (0.5000, 0.5000, 0.1382)

Principal peaks in the range 10 to 80 degrees two-theta, sorted by position:
| d/Å | Rel. int. |
| --- | --- |
| 3.548 | 32 |
| 2.936 | 56 |
| 2.697 | 27 |
| 2.637 | 78 |
| 2.226 | 100 |
| 2.076 | 67 |
| 1.631 | 36 |
| 1.578 | 33 |
| 1.256 | 31 |
| 1.226 | 28 |